Diffraction record for SiC. The XRD peak list is simulated, not measured: it uses the GGA-PBE geometry in the Materials Project and CuKα.
Intensities are scaled so that the largest is 100.

Atomic structure:
```
SiC
1.0
3.0941 0.0000 0.0000
-1.5471 2.6796 0.0000
0.0000 0.0000 40.4835
Si C
16 16
direct
0.0000 0.0000 0.0000
0.0000 0.0000 0.1250
0.0000 0.0000 0.3750
0.0000 0.0000 0.5000
0.0000 0.0000 0.6250
0.0000 0.0000 0.8750
0.3333 0.6667 0.0625
0.3333 0.6667 0.2500
0.3333 0.6667 0.4375
0.3333 0.6667 0.6875
0.3333 0.6667 0.8125
0.6667 0.3333 0.1875
0.6667 0.3333 0.3125
0.6667 0.3333 0.5625
0.6667 0.3333 0.7500
0.6667 0.3333 0.9375
0.0000 0.0000 0.0468
0.0000 0.0000 0.1719
0.0000 0.0000 0.4218
0.0000 0.0000 0.5468
0.0000 0.0000 0.6719
0.0000 0.0000 0.9218
0.3333 0.6667 0.1095
0.3333 0.6667 0.2970
0.3333 0.6667 0.4845
0.3333 0.6667 0.7343
0.3333 0.6667 0.8594
0.6667 0.3333 0.2343
0.6667 0.3333 0.3594
0.6667 0.3333 0.6095
0.6667 0.3333 0.7970
0.6667 0.3333 0.9845
```

The 8 most intense peaks (10 to 90 degrees two-theta), sorted by position:
Position (°2θ), Rel. int.
33.74, 38
34.11, 29
35.28, 99
35.48, 100
38.00, 84
59.78, 91
65.37, 39
71.48, 70